[1]
Structure and computed XRD peak list of B2IO2 (a DFT-relaxed cell (GGA-PBE, Alexandria); Cu Kα (weighted mean of Kα1 and Kα2)).
Neutral-atom scattering factors, no anomalous dispersion.

Top 10 peaks for 2θ = 15–90°, in order of rising 2θ:
28.67°, I 100, hkl 1 0 1
29.08°, I 40, hkl 0 0 4
35.48°, I 42, hkl 1 0 3
39.60°, I 14, hkl 1 1 0
42.36°, I 42, hkl 1 1 2
46.51°, I 30, hkl 1 0 5
60.87°, I 16, hkl 1 1 6
65.27°, I 18, hkl 2 1 1
65.49°, I 13, hkl 2 0 4
76.75°, I 13, hkl 2 1 5

Cell and atoms:
Cell: 3.2183 3.2183 12.2811 Å, 90.00 90.00 90.00°
Space group I4/mmm (No. 139)
Symmetry-distinct sites (fractional):
B: 0.0000 0.0000 0.2034 [4 per cell]
I: 0.0000 0.0000 0.0000 [2 per cell]
O: 0.0000 0.5000 0.2500 [4 per cell]

---

[2]
Structure and computed XRD peak list of Nd3Ga8 (a DFT-relaxed cell (GGA-PBE, Alexandria); Cu Kα (weighted mean of Kα1 and Kα2)).
Neutral-atom scattering factors, no anomalous dispersion.

Top 10 peaks for 2θ = 15–90°, in order of rising 2θ:
30.18°, I 15, hkl 1 1 2
32.19°, I 53, hkl 1 0 7
32.59°, I 100, hkl 1 1 4
41.91°, I 27, hkl 0 2 0
42.04°, I 27, hkl 2 0 0
44.34°, I 30, hkl 0 1 11
53.82°, I 25, hkl 1 2 7
60.86°, I 18, hkl 2 2 0
62.74°, I 21, hkl 2 1 11
70.66°, I 15, hkl 1 3 4

Cell and atoms:
Cell: 4.2983 4.3116 25.5214 Å, 90.00 90.00 90.00°
Space group Immm (No. 71)
Symmetry-distinct sites (fractional):
Nd: 0.0000 0.0000 0.0000 [2 per cell]
Nd: 0.0000 0.5000 0.1449 [4 per cell]
Ga: 0.0000 0.0000 0.2502 [4 per cell]
Ga: 0.0000 0.0000 0.4518 [4 per cell]
Ga: 0.0000 0.5000 0.3089 [4 per cell]
Ga: 0.0000 0.5000 0.4054 [4 per cell]